The following is a theoretical powder XRD pattern of Na4SiO4. It was derived from a PBE-relaxed structure, using Cu Kα (weighted mean of Kα1 and Kα2).

Peak list (10 most intense, 10 to 90 degrees two-theta, low angle first)
d/Å	2theta	Rel. int.	h k l
4.595	19.32	25	1 1 0
3.249	27.45	19	2 0 0
2.557	35.09	100	2 1 1
2.487	36.12	71	1 0 2
2.297	39.22	64	2 2 0
1.975	45.96	41	2 1 2
1.920	47.36	31	3 1 1
1.624	56.66	34	4 0 0
1.571	58.79	23	2 0 3
1.497	61.97	25	3 2 2

```
data_Na4SiO4
_cell_length_a 6.498
_cell_length_b 6.498
_cell_length_c 5.383
_cell_angle_alpha 90.00
_cell_angle_beta 90.00
_cell_angle_gamma 90.00
_symmetry_space_group_name_H-M 'P 42/n m c'
_symmetry_Int_Tables_number 137
loop_
_symmetry_equiv_pos_as_xyz
'x,y,z'
'-x,-y,-z'
'-y+1/2,x,z+1/2'
'y+1/2,-x,-z+1/2'
'-x+1/2,-y+1/2,z'
'x+1/2,y+1/2,-z'
'y,-x+1/2,z+1/2'
'-y,x+1/2,-z+1/2'
'x+1/2,-y,-z'
'-x+1/2,y,z'
'-y,-x,-z+1/2'
'y,x,z+1/2'
'-x,y+1/2,-z'
'x,-y+1/2,z'
'y+1/2,x+1/2,-z+1/2'
'-y+1/2,-x+1/2,z+1/2'
loop_
_atom_site_label
_atom_site_type_symbol
_atom_site_fract_x
_atom_site_fract_y
_atom_site_fract_z
Na1 Na 0.034 0.250 0.136
Si1 Si 0.250 0.750 0.250
O1 O 0.043 0.750 0.433
```